Li4MnSb2WO12: computed powder X-ray diffraction pattern (a wavelength of 1.5418 Å), based on the PBE+U geometry in Alexandria.

Top 12 peaks for 2θ from 15° to 90°, low angle first:
- (0 0 2), 23.87 deg, I = 100
- (1 1 -2), 33.04 deg, I = 39
- (2 0 0), 34.95 deg, I = 25
- (2 0 -2), 42.77 deg, I = 14
- (2 -2 0), 48.86 deg, I = 18
- (1 1 -4), 53.77 deg, I = 27
- (3 -1 0), 56.38 deg, I = 16
- (1 3 -2), 57.76 deg, I = 7
- (3 -1 2), 61.48 deg, I = 14
- (-3 1 2), 62.69 deg, I = 11
- (2 -2 4), 69.33 deg, I = 5
- (1 1 -6), 80.06 deg, I = 6

Structure:
Unit cell a=5.1313 b=5.4392 c=7.4827 alpha=94.52 beta=90.05 gamma=90.01
Space group P1 (No. 1)
Inequivalent atoms, fractional coordinates:
Li  0.0000  0.0000  0.0000 x1
Li  0.0009  0.9877  0.5342 x1
Li  0.4975  0.5298  0.5275 x1
Li  0.5030  0.6550  0.9343 x1
Mn  0.0024  0.5813  0.7266 x1
Sb  0.9996  0.5781  0.2268 x1
Sb  0.5043  0.0943  0.7318 x1
W  0.4991  0.0889  0.2322 x1
O  0.1273  0.6088  0.4769 x1
O  0.1858  0.2623  0.1598 x1
O  0.1903  0.8990  0.7854 x1
O  0.3128  0.7831  0.1606 x1
O  0.3199  0.4141  0.7784 x1
O  0.3735  0.0957  0.4728 x1
O  0.6271  0.0855  0.9859 x1
O  0.6728  0.4015  0.2910 x1
O  0.6989  0.7821  0.6657 x1
O  0.8099  0.9073  0.2861 x1
O  0.8117  0.2855  0.6558 x1
O  0.8774  0.6074  0.9764 x1

Li4MnSbW2O12: computed powder X-ray diffraction pattern (a wavelength of 1.5418 Å), based on the PBE+U geometry in Alexandria.

Top 12 peaks for 2θ from 15° to 90°, low angle first:
- (1 0 1), 20.81 deg, I = 17
- (0 0 2), 23.42 deg, I = 53
- (1 -1 0), 23.90 deg, I = 100
- (1 1 2), 32.66 deg, I = 21
- (-1 1 2), 33.01 deg, I = 20
- (0 2 0), 33.13 deg, I = 19
- (1 -1 2), 34.45 deg, I = 15
- (1 1 -2), 34.69 deg, I = 14
- (2 0 0), 34.97 deg, I = 13
- (1 -2 1), 40.19 deg, I = 9
- (0 0 4), 47.89 deg, I = 9
- (-2 2 2), 53.99 deg, I = 13

Structure:
Unit cell a=5.1320 b=5.4226 c=7.6180 alpha=85.83 beta=89.31 gamma=89.79
Space group P1 (No. 1)
Inequivalent atoms, fractional coordinates:
Li  0.0000  0.0000  0.0000 x1
Li  0.0008  0.1147  0.5784 x1
Li  0.4920  0.6450  0.0559 x1
Li  0.4957  0.6483  0.5828 x1
Mn  0.4953  0.0638  0.7852 x1
Sb  0.0018  0.5570  0.2898 x1
W  0.5044  0.0630  0.2851 x1
W  0.9925  0.5531  0.7882 x1
O  0.1242  0.5448  0.5392 x1
O  0.1778  0.2445  0.8358 x1
O  0.2007  0.8576  0.2069 x1
O  0.2978  0.7454  0.8357 x1
O  0.3174  0.3668  0.2155 x1
O  0.3652  0.0364  0.5147 x1
O  0.6277  0.0356  0.0521 x1
O  0.6839  0.7402  0.3534 x1
O  0.6915  0.3695  0.7266 x1
O  0.8021  0.8590  0.7286 x1
O  0.8143  0.2393  0.3537 x1
O  0.8755  0.5582  0.0354 x1

Li5Mn5Se8O24: computed powder X-ray diffraction pattern (a wavelength of 1.5418 Å), based on the PBE+U geometry in Alexandria.

Top 12 peaks for 2θ from 15° to 90°, low angle first:
- (1 1 2), 20.08 deg, I = 26
- (1 1 -2), 23.64 deg, I = 24
- (-1 1 2), 24.20 deg, I = 100
- (0 2 0), 24.36 deg, I = 53
- (0 1 3), 25.45 deg, I = 23
- (2 0 0), 25.95 deg, I = 22
- (2 2 0), 26.52 deg, I = 43
- (2 2 2), 29.33 deg, I = 23
- (2 1 -2), 29.63 deg, I = 30
- (1 -1 2), 30.83 deg, I = 43
- (3 1 -2), 39.47 deg, I = 26
- (2 3 4), 43.45 deg, I = 26

Structure:
Unit cell a=7.6791 b=8.5077 c=10.6512 alpha=73.74 beta=88.50 gamma=64.16
Space group P1 (No. 1)
Inequivalent atoms, fractional coordinates:
Li  0.0000  0.0000  0.0000 x1
Li  0.0985  0.0061  0.5150 x1
Li  0.3919  0.1709  0.9048 x1
Li  0.5908  0.0924  0.6656 x1
Li  0.6953  0.0880  0.1638 x1
Mn  0.2890  0.2609  0.3644 x1
Mn  0.2972  0.9183  0.2495 x1
Mn  0.3491  0.5408  0.0822 x1
Mn  0.3522  0.5424  0.5869 x1
Mn  0.4055  0.8326  0.8090 x1
Se  0.0245  0.8031  0.7863 x1
Se  0.0336  0.7222  0.3210 x1
Se  0.0694  0.3261  0.0570 x1
Se  0.0857  0.3024  0.6504 x1
Se  0.6128  0.7879  0.5205 x1
Se  0.6411  0.7514  0.1026 x1
Se  0.6659  0.3654  0.8496 x1
Se  0.6746  0.2823  0.3801 x1
O  0.0035  0.9139  0.1966 x1
O  0.0824  0.2569  0.5035 x1
O  0.1198  0.5013  0.6037 x1
O  0.1408  0.1443  0.9960 x1
O  0.1429  0.2061  0.2244 x1
O  0.1451  0.5529  0.2459 x1
O  0.1551  0.8051  0.9205 x1
O  0.2080  0.7914  0.6790 x1
O  0.2345  0.7151  0.4076 x1
O  0.2525  0.3857  0.0062 x1
O  0.3084  0.1351  0.7316 x1
O  0.3865  0.9536  0.4356 x1
O  0.4471  0.7017  0.1549 x1
O  0.4738  0.3639  0.7609 x1
O  0.4952  0.2912  0.4903 x1
O  0.5396  0.2803  0.2480 x1
O  0.5465  0.5380  0.9226 x1
O  0.5594  0.8895  0.9439 x1
O  0.5823  0.5880  0.5637 x1
O  0.5924  0.9048  0.1914 x1
O  0.6086  0.8368  0.6658 x1
O  0.7143  0.1739  0.9760 x1
O  0.8424  0.0617  0.4316 x1
O  0.8624  0.0253  0.7306 x1

Li2Mn3Se4O12: computed powder X-ray diffraction pattern (a wavelength of 1.5418 Å), based on the PBE+U geometry in Alexandria.

Top 12 peaks for 2θ from 15° to 90°, low angle first:
- (1 1 2), 19.78 deg, I = 25
- (1 1 -2), 23.31 deg, I = 15
- (0 1 -2), 23.64 deg, I = 17
- (-1 1 2), 24.20 deg, I = 100
- (0 2 2), 25.35 deg, I = 16
- (2 2 0), 26.41 deg, I = 27
- (2 2 2), 29.07 deg, I = 26
- (2 1 -2), 29.51 deg, I = 30
- (1 -1 2), 30.31 deg, I = 43
- (-1 2 2), 32.52 deg, I = 24
- (0 1 4), 33.17 deg, I = 23
- (3 1 -2), 39.49 deg, I = 21

Structure:
Unit cell a=7.6810 b=8.5598 c=10.8342 alpha=74.16 beta=87.96 gamma=63.91
Space group P-1 (No. 2)
Inequivalent atoms, fractional coordinates:
Li  0.1484  0.4562  0.4159 x2
Li  0.2540  0.4577  0.9301 x2
Mn  0.4433  0.7143  0.7831 x2
Mn  0.4504  0.3693  0.6751 x2
Mn  0.5000  0.0000  0.0000 x1
Mn  0.5000  0.0000  0.5000 x1
Se  0.1740  0.2588  0.2044 x2
Se  0.1813  0.1806  0.7285 x2
Se  0.2131  0.7862  0.4835 x2
Se  0.2254  0.7555  0.0657 x2
O  0.0047  0.4770  0.1543 x2
O  0.1447  0.3694  0.6034 x2
O  0.2445  0.7000  0.9226 x2
O  0.2504  0.9512  0.0250 x2
O  0.2755  0.6182  0.4085 x2
O  0.2947  0.6581  0.6425 x2
O  0.2991  0.0052  0.6579 x2
O  0.3060  0.2622  0.3348 x2
O  0.3537  0.2518  0.0955 x2
O  0.3713  0.1808  0.8117 x2
O  0.4014  0.8399  0.4289 x2
O  0.4551  0.5927  0.1518 x2

Li2Mn2Si2O7: computed powder X-ray diffraction pattern (a wavelength of 1.5418 Å), based on the PBE+U geometry in Alexandria.

Top 12 peaks for 2θ from 15° to 90°, low angle first:
- (0 1 1), 20.24 deg, I = 43
- (0 2 0), 20.63 deg, I = 26
- (1 1 1), 21.31 deg, I = 44
- (1 2 0), 21.68 deg, I = 20
- (4 1 1), 33.66 deg, I = 100
- (0 0 2), 35.20 deg, I = 26
- (0 3 1), 35.90 deg, I = 47
- (4 0 2), 44.67 deg, I = 14
- (4 2 2), 49.68 deg, I = 33
- (4 4 0), 50.39 deg, I = 19
- (4 4 2), 62.95 deg, I = 16
- (0 3 3), 63.63 deg, I = 13

Structure:
Unit cell a=13.3977 b=8.6118 c=5.0985 alpha=90.00 beta=90.00 gamma=90.00
Space group Ama2 (No. 40)
Inequivalent atoms, fractional coordinates:
Li  0.0816  0.2028  0.0000 x8
Mn  0.0000  0.0000  0.4762 x4
Mn  0.2500  0.0144  0.4691 x4
Si  0.1371  0.3551  0.4975 x8
O  0.0568  0.2292  0.6038 x8
O  0.1295  0.0146  0.1742 x8
O  0.1338  0.3948  0.1836 x8
O  0.2500  0.2711  0.5599 x4

Q: Number 5 is which compound?
A: Li2Mn2Si2O7